No. 1
Structure and computed powder XRD pattern of Er5In4Ag (a DFT-relaxed cell (GGA-PBE, OQMD); Cu Ka).
No peak broadening, texture or thermal motion is included.

Structure:
a b c (Å): 3.5530 3.5530 20.1340
angles (deg): 90.00 90.00 90.00
Space group P4/mmm (No. 123)
Asymmetric unit:
Er (0.0000, 0.0000, 0.0000) (multiplicity 1)
Er (0.0000, 0.0000, 0.2057) (multiplicity 2)
Er (0.0000, 0.0000, 0.4098) (multiplicity 2)
In (0.5000, 0.5000, 0.1030) (multiplicity 2)
In (0.5000, 0.5000, 0.3083) (multiplicity 2)
Ag (0.5000, 0.5000, 0.5000) (multiplicity 1)

Peak list (10 most intense, 10 to 90 degrees two-theta, sorted by position)
two_theta	Rel. int.	hkl
33.64	100	1 0 5
35.74	44	1 1 0
45.03	10	0 0 10
51.44	16	2 0 0
58.77	17	1 1 10
62.88	33	2 1 5
70.71	12	2 0 10
75.74	11	2 2 0
85.45	7	3 0 5
86.65	7	3 1 0

---

No. 2
Structure and computed powder XRD pattern of Nb4InGaC2 (a DFT-relaxed cell (GGA-PBE, OQMD); Cu Ka).
No peak broadening, texture or thermal motion is included.

Structure:
a b c (Å): 3.1780 3.1780 14.0568
angles (deg): 90.00 90.00 120.00
Space group P-6m2 (No. 187)
Asymmetric unit:
Nb (0.0000, 0.0000, 0.1547) (multiplicity 2)
Nb (0.3333, 0.6667, 0.3270) (multiplicity 2)
In (0.0000, 0.0000, 0.5000) (multiplicity 1)
Ga (0.3333, 0.6667, 0.0000) (multiplicity 1)
C (0.6667, 0.3333, 0.2415) (multiplicity 2)

Peak list (10 most intense, 10 to 90 degrees two-theta, sorted by position)
two_theta	Rel. int.	hkl
32.53	23	1 0 0
35.01	3	1 0 2
37.91	100	1 0 3
38.42	19	0 0 6
51.21	15	1 0 6
58.05	20	1 1 0
69.16	14	1 0 9
71.45	15	2 0 3
71.78	17	1 1 6
81.04	4	2 0 6

---

Number 1 is which compound?
Er5In4Ag

---

Which formula does entry 2 have?
Nb4InGaC2